Entry 1:
Diffraction record for Th4Ni3Bi8. The PXRD pattern is simulated, not measured: it uses DFT lattice parameters and positions (GGA-PBE) and Cu Kα (weighted mean of Kα1 and Kα2).
Neutral-atom scattering factors, no anomalous dispersion.

Structural model:
abc: 4.6140 4.6140 18.9092
angles: 90.00 90.00 90.00
Element x y z (fractional)
Th 0.0000 0.5000 0.1087
Th 0.0000 0.5000 0.6090
Th 0.5000 0.0000 0.3910
Th 0.5000 0.0000 0.8913
Ni 0.0000 0.0000 0.0000
Ni 0.0000 0.0000 0.5000
Ni 0.5000 0.5000 0.0000
Bi 0.0000 0.0000 0.2518
Bi 0.0000 0.0000 0.7482
Bi 0.0000 0.5000 0.4265
Bi 0.0000 0.5000 0.9215
Bi 0.5000 0.0000 0.0785
Bi 0.5000 0.0000 0.5735
Bi 0.5000 0.5000 0.2509
Bi 0.5000 0.5000 0.7491

Principal peaks in the range 2θ from 10° to 90°, in order of falling intensity:
2θ/deg	I/Imax
33.37	100
39.04	55
28.95	53
67.14	38
28.32	31
48.93	29

---

Entry 2:
Diffraction record for Th2Ni2Bi. The PXRD pattern is simulated, not measured: it uses DFT lattice parameters and positions (GGA-PBE) and Cu Kα (weighted mean of Kα1 and Kα2).
Neutral-atom scattering factors, no anomalous dispersion.

Structural model:
abc: 7.5815 7.5815 3.9192
angles: 90.00 90.00 90.00
Element x y z (fractional)
Th 0.1724 0.3276 0.0000
Th 0.3276 0.8276 0.0000
Th 0.6724 0.1724 0.0000
Th 0.8276 0.6724 0.0000
Ni 0.1199 0.6199 0.5000
Ni 0.3801 0.1199 0.5000
Ni 0.6199 0.8801 0.5000
Ni 0.8801 0.3801 0.5000
Bi 0.0000 0.0000 0.5000
Bi 0.5000 0.5000 0.5000

Principal peaks in the range 2θ from 10° to 90°, in order of falling intensity:
2θ/deg	I/Imax
34.99	100
32.87	74
37.51	54
26.28	33
28.21	28
56.61	27

---

Entry 3:
Diffraction record for Ti5NiBi. The PXRD pattern is simulated, not measured: it uses DFT lattice parameters and positions (GGA-PBE) and Cu Kα (weighted mean of Kα1 and Kα2).
Neutral-atom scattering factors, no anomalous dispersion.

Structural model:
abc: 7.3564 7.3564 7.3564
angles: 137.56 90.47 104.70
Element x y z (fractional)
Ti 0.1364 0.0141 0.1223
Ti 0.2589 0.0000 0.7589
Ti 0.2589 0.5000 0.2589
Ti 0.3918 0.0141 0.3777
Ti 0.4380 0.6879 0.7500
Ti 0.5621 0.3120 0.2500
Ti 0.6082 0.9859 0.6223
Ti 0.7411 0.0000 0.2411
Ti 0.7411 0.5000 0.7411
Ti 0.8636 0.9859 0.8777
Ni 0.0000 0.5000 0.5000
Ni 0.5000 0.5000 0.0000
Bi 0.1134 0.3634 0.7500
Bi 0.8866 0.6366 0.2500

Principal peaks in the range 2θ from 10° to 90°, in order of falling intensity:
2θ/deg	I/Imax
39.99	100
27.36	92
38.62	89
13.04	69
43.93	51
34.35	47

---

Entry 4:
Diffraction record for Tl2Ni2Bi. The PXRD pattern is simulated, not measured: it uses DFT lattice parameters and positions (GGA-PBE) and Cu Kα (weighted mean of Kα1 and Kα2).
Neutral-atom scattering factors, no anomalous dispersion.

Structural model:
abc: 9.8427 9.8427 9.8427
angles: 159.90 159.90 28.58
Element x y z (fractional)
Tl 0.1361 0.1361 0.0000
Tl 0.8639 0.8639 0.0000
Ni 0.2500 0.7500 0.5000
Ni 0.7500 0.2500 0.5000
Bi 0.5000 0.5000 0.0000

Principal peaks in the range 2θ from 10° to 90°, in order of falling intensity:
2θ/deg	I/Imax
29.55	100
35.15	31
62.15	25
47.08	24
37.00	21
37.73	21

---

Entry 5:
Diffraction record for Np3Bi8. The PXRD pattern is simulated, not measured: it uses DFT lattice parameters and positions (GGA-PBE) and Cu Kα (weighted mean of Kα1 and Kα2).
Neutral-atom scattering factors, no anomalous dispersion.

Structural model:
abc: 6.3570 6.3570 12.4196
angles: 99.29 99.29 41.53
Element x y z (fractional)
Np 0.0000 0.0000 0.0000
Np 0.0854 0.0854 0.6518
Np 0.9146 0.9146 0.3482
Bi 0.1878 0.1878 0.2737
Bi 0.2748 0.2748 0.9057
Bi 0.3779 0.3779 0.5432
Bi 0.4564 0.4564 0.1752
Bi 0.5436 0.5436 0.8248
Bi 0.6221 0.6221 0.4568
Bi 0.7252 0.7252 0.0943
Bi 0.8122 0.8122 0.7263

Principal peaks in the range 2θ from 10° to 90°, in order of falling intensity:
2θ/deg	I/Imax
31.49	100
31.91	95
32.66	45
37.31	30
40.01	27
52.56	24

---

Entry 6:
Diffraction record for Np2BiO2. The PXRD pattern is simulated, not measured: it uses DFT lattice parameters and positions (GGA-PBE) and Cu Kα (weighted mean of Kα1 and Kα2).
Neutral-atom scattering factors, no anomalous dispersion.

Structural model:
abc: 9.5438 3.8797 11.0581
angles: 90.00 90.00 90.00
Element x y z (fractional)
Np 0.0153 0.2500 0.1376
Np 0.1478 0.2500 0.5325
Np 0.3522 0.7500 0.0325
Np 0.4847 0.7500 0.6376
Np 0.5153 0.2500 0.3624
Np 0.6478 0.2500 0.9675
Np 0.8522 0.7500 0.4675
Np 0.9847 0.7500 0.8624
Bi 0.2423 0.7500 0.3078
Bi 0.2577 0.2500 0.8078
Bi 0.7423 0.7500 0.1922
Bi 0.7577 0.2500 0.6922
O 0.0509 0.7500 0.5821
O 0.0902 0.7500 0.0440
O 0.4098 0.2500 0.5440
O 0.4491 0.2500 0.0821
O 0.5509 0.7500 0.9179
O 0.5902 0.7500 0.4560
O 0.9098 0.2500 0.9560
O 0.9491 0.2500 0.4179

Principal peaks in the range 2θ from 10° to 90°, in order of falling intensity:
2θ/deg	I/Imax
30.78	100
29.65	71
34.87	64
29.21	49
25.91	44
33.75	32

---

Entry 7:
Diffraction record for NpBi2O7. The PXRD pattern is simulated, not measured: it uses DFT lattice parameters and positions (GGA-PBE) and Cu Kα (weighted mean of Kα1 and Kα2).
Neutral-atom scattering factors, no anomalous dispersion.

Structural model:
abc: 7.0304 7.0304 8.6051
angles: 118.85 118.85 59.02
Element x y z (fractional)
Np 0.1696 0.8304 0.7500
Np 0.8304 0.1696 0.2500
Bi 0.1910 0.4288 0.2006
Bi 0.4288 0.1910 0.7006
Bi 0.5712 0.8090 0.2994
Bi 0.8090 0.5712 0.7994
O 0.0605 0.2652 0.8944
O 0.0969 0.5670 0.7285
O 0.1060 0.7533 0.4954
O 0.2467 0.8940 0.0046
O 0.2652 0.0605 0.3944
O 0.4330 0.9031 0.7715
O 0.4931 0.5069 0.2500
O 0.5069 0.4931 0.7500
O 0.5670 0.0969 0.2285
O 0.7348 0.9395 0.6056
O 0.7533 0.1060 0.9954
O 0.8940 0.2467 0.5046
O 0.9031 0.4330 0.2715
O 0.9395 0.7348 0.1056

Principal peaks in the range 2θ from 10° to 90°, in order of falling intensity:
2θ/deg	I/Imax
25.43	100
28.63	99
24.87	85
27.40	56
29.30	36
34.30	27

---

Entry 8:
Diffraction record for NpBi3O7. The PXRD pattern is simulated, not measured: it uses DFT lattice parameters and positions (GGA-PBE) and Cu Kα (weighted mean of Kα1 and Kα2).
Neutral-atom scattering factors, no anomalous dispersion.

Structural model:
abc: 6.8802 6.8802 7.9096
angles: 90.00 90.00 108.59
Element x y z (fractional)
Np 0.0006 0.0006 0.0000
Np 0.9994 0.9994 0.5000
Bi 0.0077 0.5231 0.2444
Bi 0.4631 0.4631 0.0000
Bi 0.4769 0.9923 0.2556
Bi 0.5231 0.0077 0.7556
Bi 0.5369 0.5369 0.5000
Bi 0.9923 0.4769 0.7444
O 0.0491 0.3094 0.4469
O 0.0760 0.9240 0.2500
O 0.0931 0.3313 0.0390
O 0.3094 0.0491 0.5531
O 0.3313 0.0931 0.9610
O 0.3597 0.6403 0.2500
O 0.3720 0.6280 0.7500
O 0.6280 0.3720 0.2500
O 0.6403 0.3597 0.7500
O 0.6687 0.9069 0.4610
O 0.6906 0.9509 0.0531
O 0.9069 0.6687 0.5390
O 0.9240 0.0760 0.7500
O 0.9509 0.6906 0.9469

Principal peaks in the range 2θ from 10° to 90°, in order of falling intensity:
2θ/deg	I/Imax
27.63	100
27.35	98
45.74	58
31.76	52
54.27	45
32.04	26